This entry pairs a crystal structure of Na6Cd12Au with its simulated powder XRD pattern. Radiation: Cu Kα X-rays. Structure: a PBE-relaxed structure.
Peak positions follow from Bragg's law for the DFT cell and can differ from measured ones.

The 10 most intense peaks (10° ≤ 2θ ≤ 90°), by intensity:
35.74 deg, rel. 1000
15.48 deg, rel. 656
34.82 deg, rel. 640
37.57 deg, rel. 605
24.83 deg, rel. 500
33.38 deg, rel. 488
23.01 deg, rel. 340
37.78 deg, rel. 277
62.72 deg, rel. 192
47.48 deg, rel. 191

Structure:
```
Na6Cd12Au
1.0
5.7258 3.3058 4.1118
-5.7258 3.3058 4.1118
0.0000 -6.6116 4.1118
Na Cd Au
6 12 1
Cartesian
-3.0787 0.6978 5.5779
-2.1437 -2.3173 6.7576
0.9350 -3.0151 5.5779
-0.9350 3.0152 6.7576
2.1437 2.3173 5.5779
3.0787 -0.6978 6.7576
-5.3498 -1.4174 7.0196
-1.4474 -5.3418 5.3158
-1.3517 -1.2510 3.8631
-3.9025 3.9244 5.3158
-0.4076 1.7961 3.8631
1.7593 -0.5450 3.8631
-1.7593 0.5450 8.4723
0.4076 -1.7961 8.4723
3.9024 -3.9244 7.0196
1.3516 1.2510 8.4723
1.4474 5.3418 7.0196
5.3498 1.4174 5.3158
0.0000 0.0000 6.1677
```